BaSmSi3Au: computed powder diffraction line list (Cu Ka), based on a cell relaxed with GGA-PBE.
Kinematic intensities with the Lorentz-polarization factor, no thermal factor.

Most intense lines, 15° ≤ 2θ ≤ 90°, sorted by position:
2θ/deg	I (rel.)
15.56	16.3
21.17	13.3
23.12	40.8
31.19	59.8
31.41	100.0
39.55	24.7
42.61	40.2
43.12	19.9
54.17	25.0
59.53	29.0
59.93	14.6
70.77	13.6

abc: 8.6720 8.4878 6.1947
angles: 70.44 67.26 42.31
Fractional positions:
Ba1 0.2500 0.2500 0.2500
Ba2 0.7500 0.7500 0.7500
Sm1 0.2365 0.7635 0.2365
Sm2 0.7635 0.2365 0.7635
Si1 0.1582 0.1582 0.8418
Si2 0.1667 0.6761 0.8333
Si3 0.3239 0.8333 0.6761
Si4 0.6761 0.1667 0.3239
Si5 0.8333 0.3239 0.1667
Si6 0.8418 0.8418 0.1582
Au1 0.3390 0.3390 0.6610
Au2 0.6610 0.6610 0.3390

---

MoSe2S2Br: computed powder diffraction line list (Cu Ka), based on a cell relaxed with GGA-PBE.
Kinematic intensities with the Lorentz-polarization factor, no thermal factor.

Most intense lines, 15° ≤ 2θ ≤ 90°, sorted by position:
2θ/deg	I (rel.)
24.59	100.0
25.37	37.0
28.59	44.8
33.16	48.3
34.53	43.1
35.38	75.9
39.43	43.8
41.27	58.7
41.57	42.3
42.87	34.9
42.95	39.1
45.18	32.6

abc: 6.3216 7.8997 8.0325
angles: 105.99 104.90 113.46
Fractional positions:
Mo1 0.2242 0.9997 0.4992
Mo2 0.7758 0.0003 0.5008
Se1 0.1776 0.1562 0.8020
Se2 0.2996 0.7599 0.2507
Se3 0.7004 0.2401 0.7493
Se4 0.8224 0.8438 0.1980
S1 0.1777 0.2997 0.5858
S2 0.4847 0.0923 0.3105
S3 0.5153 0.9077 0.6895
S4 0.8223 0.7003 0.4142
Br1 0.0996 0.3640 0.2485
Br2 0.9004 0.6360 0.7515